Entry 1:
Structure and theoretical powder X-ray diffraction pattern of Nd2Si3 (a cell relaxed with PBE; a wavelength of 1.5418 Å).

Atomic structure:
Cell: 7.6437 7.6437 7.6437 Å, 150.10 148.01 44.35°
Fractional coordinates of all 5 atoms:
Nd  0.0000  0.0000  0.0000
Nd  0.7534  0.2534  0.5000
Si  0.1626  0.6626  0.5000
Si  0.3280  0.8280  0.5000
Si  0.4247  0.4247  0.0000

Principal peaks in the range 15 to 90 degrees two-theta, sorted by position:
2θ = 22.0°, rel. 27.3; 2θ = 23.4°, rel. 26.9; 2θ = 25.2°, rel. 29.4; 2θ = 28.4°, rel. 32.4; 2θ = 29.5°, rel. 22.2; 2θ = 33.6°, rel. 100.0; 2θ = 38.3°, rel. 18.5; 2θ = 39.2°, rel. 20.2; 2θ = 42.9°, rel. 15.7; 2θ = 50.0°, rel. 21.2

Entry 2:
Structure and theoretical powder X-ray diffraction pattern of Nd5Si3 (a cell relaxed with PBE; a wavelength of 1.5418 Å).

Atomic structure:
Cell: 8.8897 8.8897 8.8897 Å, 127.79 127.79 76.97°
Fractional coordinates of all 16 atoms:
Nd  0.0000  0.0000  0.0000
Nd  0.0320  0.5320  0.8556
Nd  0.1763  0.0320  0.5000
Nd  0.3237  0.8237  0.8556
Nd  0.4680  0.3237  0.5000
Nd  0.5000  0.5000  0.0000
Nd  0.5320  0.6763  0.5000
Nd  0.6763  0.1763  0.1444
Nd  0.8237  0.9680  0.5000
Nd  0.9680  0.4680  0.1444
Si  0.1151  0.3849  0.5000
Si  0.2500  0.2500  0.0000
Si  0.3849  0.8849  0.2699
Si  0.6151  0.1151  0.7301
Si  0.7500  0.7500  0.0000
Si  0.8849  0.6151  0.5000

Principal peaks in the range 15 to 90 degrees two-theta, sorted by position:
2θ = 26.1°, rel. 22.4; 2θ = 26.3°, rel. 42.5; 2θ = 32.0°, rel. 100.0; 2θ = 32.4°, rel. 21.8; 2θ = 34.5°, rel. 56.5; 2θ = 36.3°, rel. 40.8; 2θ = 48.4°, rel. 19.1; 2θ = 52.1°, rel. 30.7; 2θ = 53.0°, rel. 19.0; 2θ = 56.5°, rel. 23.1

Entry 3:
Structure and theoretical powder X-ray diffraction pattern of NdSi2 (a cell relaxed with PBE; a wavelength of 1.5418 Å).

Atomic structure:
Cell: 5.4661 5.4661 5.4661 Å, 60.00 60.00 60.00°
Fractional coordinates of all 6 atoms:
Nd  0.1250  0.1250  0.1250
Nd  0.8750  0.8750  0.8750
Si  0.0000  0.5000  0.5000
Si  0.5000  0.0000  0.5000
Si  0.5000  0.5000  0.0000
Si  0.5000  0.5000  0.5000

Principal peaks in the range 15 to 90 degrees two-theta, sorted by position:
2θ = 19.9°, rel. 54.3; 2θ = 32.8°, rel. 95.8; 2θ = 38.6°, rel. 100.0; 2θ = 51.5°, rel. 14.2; 2θ = 58.5°, rel. 36.5; 2θ = 62.4°, rel. 32.3; 2θ = 68.7°, rel. 21.6; 2θ = 72.3°, rel. 10.2; 2θ = 78.2°, rel. 15.6; 2θ = 81.7°, rel. 11.4

Entry 4:
Structure and theoretical powder X-ray diffraction pattern of Nd2Si3 (a cell relaxed with PBE; a wavelength of 1.5418 Å).

Atomic structure:
Cell: 4.0600 4.0600 8.2526 Å, 90.00 90.00 120.00°
Fractional coordinates of all 5 atoms:
Nd  0.0000  0.0000  0.2465
Nd  0.0000  0.0000  0.7535
Si  0.3333  0.6667  0.5000
Si  0.6667  0.3333  0.0000
Si  0.6667  0.3333  0.5000

Principal peaks in the range 15 to 90 degrees two-theta, sorted by position:
2θ = 21.5°, rel. 17.9; 2θ = 25.3°, rel. 55.9; 2θ = 33.5°, rel. 100.0; 2θ = 43.9°, rel. 9.8; 2θ = 44.6°, rel. 28.2; 2θ = 50.1°, rel. 12.2; 2θ = 51.3°, rel. 16.5; 2θ = 56.9°, rel. 21.7; 2θ = 64.4°, rel. 18.7; 2θ = 75.1°, rel. 19.1